Entry 1:
This entry pairs a crystal structure of AlAsOs4 with its computed powder X-ray diffraction pattern. Radiation: copper Kα. Structure: the PBE geometry in Alexandria.

Top 6 peaks for 2θ = 10–80°, by angle:
- 2θ 20.99, d 4.231, I 81
- 2θ 40.84, d 2.210, I 100
- 2θ 42.74, d 2.116, I 82
- 2θ 49.76, d 1.832, I 29
- 2θ 66.26, d 1.410, I 32
- 2θ 73.03, d 1.296, I 33

```
AlAsOs4
1.0
0.0000 3.6645 3.6645
3.6645 0.0000 3.6645
3.6645 3.6645 0.0000
Al As Os
1 1 4
direct
0.0000 0.0000 0.0000
0.7500 0.7500 0.7500
0.3751 0.3751 0.3751
0.3751 0.3751 0.8746
0.3751 0.8746 0.3751
0.8746 0.3751 0.3751
```

***

Entry 2:
This entry pairs a crystal structure of ScSn4Rh with its computed powder X-ray diffraction pattern. Radiation: copper Kα. Structure: the PBE geometry in Alexandria.

Top 6 peaks for 2θ = 10–80°, by angle:
- 2θ 31.44, d 2.845, I 100
- 2θ 33.82, d 2.650, I 39
- 2θ 37.20, d 2.417, I 31
- 2θ 39.20, d 2.298, I 51
- 2θ 43.90, d 2.062, I 41
- 2θ 46.90, d 1.937, I 50

```
ScSn4Rh
1.0
-3.2607 3.2607 6.4778
3.2607 -3.2607 6.4778
3.2607 3.2607 -6.4778
Sc Sn Rh
2 8 2
direct
0.2500 0.2500 0.0000
0.7500 0.7500 0.0000
0.0532 0.5532 0.8317
0.2215 0.0532 0.5000
0.2785 0.7785 0.8317
0.4468 0.2785 0.5000
0.5532 0.7215 0.5000
0.7215 0.2215 0.1683
0.7785 0.9468 0.5000
0.9468 0.4468 0.1683
0.0000 0.0000 0.0000
0.5000 0.5000 0.0000
```

***

Entry 3:
This entry pairs a crystal structure of ThP2 with its computed powder X-ray diffraction pattern. Radiation: copper Kα. Structure: the PBE geometry in Alexandria.

Top 6 peaks for 2θ = 10–80°, by angle:
- 2θ 22.54, d 3.945, I 100
- 2θ 24.93, d 3.571, I 69
- 2θ 27.89, d 3.199, I 54
- 2θ 34.08, d 2.631, I 43
- 2θ 35.42, d 2.534, I 48
- 2θ 39.01, d 2.309, I 91

```
ThP2
1.0
7.1929 0.0000 0.0000
0.0000 3.8584 0.0000
0.0000 0.0000 9.4373
Th P
4 8
direct
0.1995 0.2500 0.1522
0.3005 0.7500 0.6522
0.6995 0.2500 0.3478
0.8005 0.7500 0.8478
0.0844 0.2500 0.4606
0.1068 0.2500 0.8389
0.3932 0.7500 0.3389
0.4156 0.7500 0.9606
0.5844 0.2500 0.0394
0.6068 0.2500 0.6611
0.8932 0.7500 0.1611
0.9156 0.7500 0.5394
```

***

Entry 4:
This entry pairs a crystal structure of SrEr4Bi5 with its computed powder X-ray diffraction pattern. Radiation: copper Kα. Structure: the PBE geometry in Alexandria.

Top 6 peaks for 2θ = 10–80°, by angle:
- 2θ 27.91, d 3.197, I 100
- 2θ 39.87, d 2.261, I 52
- 2θ 40.22, d 2.242, I 13
- 2θ 49.11, d 1.855, I 13
- 2θ 49.64, d 1.836, I 14
- 2θ 65.24, d 1.430, I 24

```
SrEr4Bi5
1.0
-2.2422 3.2011 11.3809
2.2422 -3.2011 11.3809
2.2422 3.2011 -11.3809
Sr Er Bi
1 4 5
direct
0.0000 0.0000 0.0000
0.2037 0.2037 0.0000
0.4013 0.4013 0.0000
0.5987 0.5987 0.0000
0.7963 0.7963 0.0000
0.1094 0.6094 0.5000
0.3018 0.8018 0.5000
0.5000 0.0000 0.5000
0.6982 0.1982 0.5000
0.8906 0.3906 0.5000
```

***

Entry 5:
This entry pairs a crystal structure of Pm2HoTm8 with its computed powder X-ray diffraction pattern. Radiation: copper Kα. Structure: the PBE geometry in Alexandria.

Top 6 peaks for 2θ = 10–80°, by angle:
- 2θ 31.11, d 2.874, I 100
- 2θ 36.08, d 2.489, I 51
- 2θ 51.95, d 1.760, I 36
- 2θ 61.80, d 1.501, I 43
- 2θ 64.88, d 1.437, I 12
- 2θ 76.57, d 1.244, I 4

```
Pm2HoTm8
1.0
8.9781 -2.4879 0.0000
8.9781 2.4879 0.0000
-2.0680 0.0000 7.5961
Pm Ho Tm
2 1 8
direct
0.2270 0.2270 0.1372
0.7730 0.7730 0.8628
0.5000 0.5000 0.5000
0.0444 0.0444 0.2275
0.1353 0.1353 0.6784
0.3190 0.3190 0.5920
0.4104 0.4104 0.0464
0.5896 0.5896 0.9536
0.6810 0.6810 0.4080
0.8647 0.8647 0.3216
0.9556 0.9556 0.7725
```

***

Entry 6:
This entry pairs a crystal structure of SrNdCuS3 with its computed powder X-ray diffraction pattern. Radiation: copper Kα. Structure: the PBE geometry in Alexandria.

Top 6 peaks for 2θ = 10–80°, by angle:
- 2θ 13.59, d 6.513, I 86
- 2θ 21.54, d 4.126, I 61
- 2θ 28.66, d 3.114, I 99
- 2θ 31.49, d 2.841, I 74
- 2θ 34.78, d 2.580, I 100
- 2θ 45.15, d 2.008, I 61

```
SrNdCuS3
1.0
10.6638 0.0000 0.0000
0.0000 4.0138 0.0000
0.0000 0.0000 13.0268
Sr Nd Cu S
4 4 4 12
direct
0.2104 0.2500 0.0025
0.2896 0.7500 0.5025
0.7104 0.2500 0.4975
0.7896 0.7500 0.9975
0.0196 0.7500 0.2668
0.4804 0.2500 0.7668
0.5196 0.7500 0.2332
0.9804 0.2500 0.7332
0.2301 0.7500 0.7757
0.2699 0.2500 0.2757
0.7301 0.7500 0.7243
0.7699 0.2500 0.2243
0.0497 0.7500 0.8796
0.1091 0.2500 0.3978
0.2381 0.2500 0.6728
0.2619 0.7500 0.1728
0.3909 0.7500 0.8978
0.4503 0.2500 0.3796
0.5497 0.7500 0.6204
0.6091 0.2500 0.1022
0.7381 0.2500 0.8272
0.7619 0.7500 0.3272
0.8909 0.7500 0.6022
0.9503 0.2500 0.1204
```

***

Entry 7:
This entry pairs a crystal structure of ErTmCoRh with its computed powder X-ray diffraction pattern. Radiation: copper Kα. Structure: the PBE geometry in Alexandria.

Top 6 peaks for 2θ = 10–80°, by angle:
- 2θ 26.65, d 3.345, I 13
- 2θ 38.04, d 2.365, I 100
- 2θ 47.05, d 1.931, I 4
- 2θ 54.89, d 1.673, I 17
- 2θ 62.04, d 1.496, I 6
- 2θ 68.74, d 1.366, I 35

```
ErTmCoRh
1.0
6.6901 0.0000 0.0000
0.0000 6.6901 0.0000
0.0000 0.0000 6.6901
Er Tm Co Rh
4 4 4 4
direct
0.0000 0.0000 0.0000
0.0000 0.5000 0.5000
0.5000 0.0000 0.5000
0.5000 0.5000 0.0000
0.0000 0.0000 0.5000
0.0000 0.5000 0.0000
0.5000 0.0000 0.0000
0.5000 0.5000 0.5000
0.2500 0.2500 0.2500
0.2500 0.7500 0.7500
0.7500 0.2500 0.7500
0.7500 0.7500 0.2500
0.2500 0.2500 0.7500
0.2500 0.7500 0.2500
0.7500 0.2500 0.2500
0.7500 0.7500 0.7500
```

***

Entry 8:
This entry pairs a crystal structure of Tb5SmMg with its computed powder X-ray diffraction pattern. Radiation: copper Kα. Structure: the PBE geometry in Alexandria.

Top 6 peaks for 2θ = 10–80°, by angle:
- 2θ 29.91, d 2.987, I 14
- 2θ 31.73, d 2.820, I 100
- 2θ 31.89, d 2.806, I 68
- 2θ 32.59, d 2.747, I 36
- 2θ 46.12, d 1.968, I 22
- 2θ 56.73, d 1.623, I 20

```
Tb5SmMg
1.0
6.0024 -2.7474 0.0000
6.0024 2.7474 0.0000
-1.2045 0.0000 13.2270
Tb Sm Mg
10 2 2
direct
0.0642 0.0642 0.1314
0.0647 0.0647 0.6323
0.2425 0.2425 0.4262
0.2417 0.2417 0.9270
0.3633 0.3633 0.1955
0.6367 0.6367 0.8045
0.7583 0.7583 0.0730
0.7575 0.7575 0.5738
0.9353 0.9353 0.3677
0.9358 0.9358 0.8686
0.3635 0.3635 0.6961
0.6365 0.6365 0.3039
0.5000 0.5000 0.0000
0.5000 0.5000 0.5000
```

***

Entry 9:
This entry pairs a crystal structure of LiLa3Tl2 with its computed powder X-ray diffraction pattern. Radiation: copper Kα. Structure: the PBE geometry in Alexandria.

Top 6 peaks for 2θ = 10–80°, by angle:
- 2θ 26.43, d 3.372, I 54
- 2θ 28.55, d 3.126, I 66
- 2θ 34.00, d 2.637, I 75
- 2θ 34.35, d 2.611, I 76
- 2θ 37.41, d 2.404, I 100
- 2θ 37.68, d 2.387, I 71

```
LiLa3Tl2
1.0
-3.4284 8.2503 3.3719
3.4284 -8.2503 3.3719
3.4284 8.2503 -3.3719
Li La Tl
2 6 4
direct
0.2500 0.2500 0.0000
0.7500 0.7500 0.0000
0.1755 0.2367 0.4122
0.2500 0.7500 0.5000
0.3245 0.7367 0.0612
0.6755 0.2633 0.9388
0.7500 0.2500 0.5000
0.8245 0.7633 0.5878
0.1285 0.7685 0.8969
0.3715 0.2685 0.6400
0.6285 0.7315 0.3600
0.8715 0.2315 0.1031
```

***

Entry 10:
This entry pairs a crystal structure of Pr3Bi2Pd7 with its computed powder X-ray diffraction pattern. Radiation: copper Kα. Structure: the PBE geometry in Alexandria.

Top 6 peaks for 2θ = 10–80°, by angle:
- 2θ 30.03, d 2.976, I 55
- 2θ 34.20, d 2.622, I 56
- 2θ 35.04, d 2.561, I 92
- 2θ 38.54, d 2.336, I 79
- 2θ 39.21, d 2.298, I 80
- 2θ 42.98, d 2.104, I 100

```
Pr3Bi2Pd7
1.0
-2.1044 2.1044 15.0847
2.1044 -2.1044 15.0847
2.1044 2.1044 -15.0847
Pr Bi Pd
3 2 7
direct
0.0000 0.0000 0.0000
0.1798 0.1798 0.0000
0.8202 0.8202 0.0000
0.3713 0.3713 0.0000
0.6287 0.6287 0.0000
0.0707 0.5707 0.5000
0.2748 0.2748 0.0000
0.4293 0.9293 0.5000
0.5000 0.5000 0.0000
0.5707 0.0707 0.5000
0.7252 0.7252 0.0000
0.9293 0.4293 0.5000
```

***

Entry 11:
This entry pairs a crystal structure of Ce2ScZn2Ga2 with its computed powder X-ray diffraction pattern. Radiation: copper Kα. Structure: the PBE geometry in Alexandria.

Top 6 peaks for 2θ = 10–80°, by angle:
- 2θ 27.56, d 3.237, I 37
- 2θ 34.09, d 2.630, I 91
- 2θ 36.72, d 2.448, I 66
- 2θ 41.88, d 2.157, I 100
- 2θ 53.02, d 1.727, I 27
- 2θ 69.73, d 1.349, I 32

```
Ce2ScZn2Ga2
1.0
2.1573 1.2455 8.6383
-2.1573 1.2455 8.6383
0.0000 -2.4910 8.6383
Ce Sc Zn Ga
2 1 2 2
direct
0.1397 0.1397 0.1397
0.8603 0.8603 0.8603
0.0000 0.0000 0.0000
0.3942 0.3942 0.3942
0.6058 0.6058 0.6058
0.2695 0.2695 0.2695
0.7305 0.7305 0.7305
```

***

Entry 12:
This entry pairs a crystal structure of SrAs2O6 with its computed powder X-ray diffraction pattern. Radiation: copper Kα. Structure: the PBE geometry in Alexandria.

Top 6 peaks for 2θ = 10–80°, by angle:
- 2θ 16.11, d 5.503, I 21
- 2θ 26.36, d 3.381, I 100
- 2θ 36.30, d 2.475, I 28
- 2θ 45.42, d 1.997, I 18
- 2θ 49.54, d 1.840, I 44
- 2θ 59.48, d 1.554, I 19

```
SrAs2O6
1.0
4.9491 0.0000 0.0000
-2.4746 4.2861 0.0000
0.0000 0.0000 11.0057
Sr As O
2 4 12
direct
0.0000 0.0000 0.2500
0.0000 0.0000 0.7500
0.3333 0.6667 0.0000
0.3333 0.6667 0.5000
0.6667 0.3333 0.0000
0.6667 0.3333 0.5000
0.0000 0.3836 0.0963
0.0000 0.3836 0.4037
0.0000 0.6164 0.5963
0.0000 0.6164 0.9037
0.3836 0.0000 0.0963
0.3836 0.0000 0.4037
0.3836 0.3836 0.5963
0.3836 0.3836 0.9037
0.6164 0.0000 0.5963
0.6164 0.0000 0.9037
0.6164 0.6164 0.0963
0.6164 0.6164 0.4037
```

***

Entry 13:
This entry pairs a crystal structure of TbSi2Pd5Pt with its computed powder X-ray diffraction pattern. Radiation: copper Kα. Structure: the PBE geometry in Alexandria.

Top 6 peaks for 2θ = 10–80°, by angle:
- 2θ 22.68, d 3.920, I 38
- 2θ 27.38, d 3.258, I 27
- 2θ 30.93, d 2.891, I 25
- 2θ 34.87, d 2.573, I 100
- 2θ 42.23, d 2.140, I 62
- 2θ 47.85, d 1.901, I 40

```
TbSi2Pd5Pt
1.0
4.2797 0.0000 0.0000
0.0000 4.2797 0.0000
0.0000 0.0000 9.7733
Tb Si Pd Pt
1 2 5 1
direct
0.0000 0.0000 0.0000
0.5000 0.5000 0.2338
0.5000 0.5000 0.7662
0.0000 0.5000 0.3256
0.0000 0.5000 0.6744
0.5000 0.0000 0.3256
0.5000 0.0000 0.6744
0.5000 0.5000 0.0000
0.5000 0.5000 0.5000
```